This entry pairs a crystal structure of NpCrB2O6 with its computed PXRD pattern. Radiation: Cu Kα X-rays. Structure: the GGA+U geometry in Alexandria.
Kinematic intensities with the Lorentz-polarization factor, no thermal factor.

Principal peaks in the range 10° ≤ 2θ ≤ 90°, by angle:
16.45 deg, I = 30
21.75 deg, I = 57
23.77 deg, I = 100
30.62 deg, I = 91
34.95 deg, I = 23
36.87 deg, I = 36
40.62 deg, I = 31
44.34 deg, I = 28
50.48 deg, I = 42
58.99 deg, I = 22

Structure:
Unit cell a=6.080 b=6.080 c=6.080 alpha=47.28 beta=47.28 gamma=47.28
Element x y z (fractional)
Np: 0.000 0.000 0.000
Cr: 0.500 0.500 0.500
B: 0.240 0.240 0.240
B: 0.760 0.760 0.760
O: 0.054 0.728 0.488
O: 0.272 0.512 0.946
O: 0.488 0.054 0.728
O: 0.512 0.946 0.272
O: 0.728 0.488 0.054
O: 0.946 0.272 0.512